(1)
Starting from a DFT-relaxed cell (GGA-PBE, Alexandria), the powder XRD pattern of Mo2RuSe4 was computed for Cu Kα (weighted mean of Kα1 and Kα2).
Intensities are scaled so that the largest is 100.

Atomic structure:
Lattice parameters (Å, degrees): 6.725 9.330 9.804 90.05 90.80 94.89
Sites, in units of the cell vectors:
Mo (0.042, 0.326, 0.413)
Mo (0.082, 0.107, 0.846)
Mo (0.266, 0.021, 0.067)
Mo (0.267, 0.518, 0.567)
Mo (0.733, 0.482, 0.433)
Mo (0.734, 0.979, 0.933)
Mo (0.918, 0.893, 0.154)
Mo (0.958, 0.674, 0.587)
Ru (0.051, 0.819, 0.908)
Ru (0.089, 0.608, 0.337)
Ru (0.911, 0.392, 0.663)
Ru (0.949, 0.181, 0.092)
Se (0.124, 0.079, 0.299)
Se (0.131, 0.569, 0.804)
Se (0.218, 0.252, 0.630)
Se (0.237, 0.749, 0.119)
Se (0.277, 0.285, 0.005)
Se (0.287, 0.780, 0.491)
Se (0.368, 0.448, 0.320)
Se (0.368, 0.947, 0.820)
Se (0.632, 0.053, 0.180)
Se (0.632, 0.552, 0.680)
Se (0.713, 0.220, 0.509)
Se (0.723, 0.715, 0.995)
Se (0.763, 0.251, 0.881)
Se (0.782, 0.748, 0.370)
Se (0.869, 0.431, 0.196)
Se (0.876, 0.921, 0.701)

Peak list (10 most intense, 15° ≤ 2θ ≤ 90°, most intense first)
- 2θ = 49.6°, rel. 100
- 2θ = 44.2°, rel. 95
- 2θ = 32.1°, rel. 76
- 2θ = 44.1°, rel. 72
- 2θ = 44.8°, rel. 64
- 2θ = 42.3°, rel. 62
- 2θ = 38.9°, rel. 60
- 2θ = 39.3°, rel. 55
- 2θ = 57.7°, rel. 53
- 2θ = 39.1°, rel. 50

---

(2)
Starting from a DFT-relaxed cell (GGA-PBE, Alexandria), the powder XRD pattern of InH5NOF4 was computed for Cu Kα (weighted mean of Kα1 and Kα2).
Intensities are scaled so that the largest is 100.

Atomic structure:
Lattice parameters (Å, degrees): 5.877 6.307 6.866 69.24 88.06 79.78
Sites, in units of the cell vectors:
In (0.060, 0.413, 0.277)
In (0.940, 0.587, 0.723)
H (0.269, 0.867, 0.549)
H (0.293, 0.090, 0.868)
H (0.387, 0.806, 0.024)
H (0.401, 0.615, 0.709)
H (0.451, 0.059, 0.188)
H (0.549, 0.941, 0.812)
H (0.599, 0.385, 0.291)
H (0.613, 0.194, 0.976)
H (0.707, 0.910, 0.132)
H (0.731, 0.133, 0.451)
N (0.437, 0.963, 0.933)
N (0.563, 0.037, 0.067)
O (0.254, 0.731, 0.682)
O (0.746, 0.269, 0.318)
F (0.115, 0.308, 0.616)
F (0.119, 0.318, 0.992)
F (0.285, 0.080, 0.363)
F (0.361, 0.565, 0.214)
F (0.639, 0.435, 0.786)
F (0.715, 0.920, 0.637)
F (0.881, 0.682, 0.008)
F (0.885, 0.692, 0.384)

Peak list (10 most intense, 15° ≤ 2θ ≤ 90°, most intense first)
- 2θ = 15.3°, rel. 100
- 2θ = 19.7°, rel. 57
- 2θ = 26.6°, rel. 27
- 2θ = 32.1°, rel. 23
- 2θ = 43.8°, rel. 17
- 2θ = 27.8°, rel. 15
- 2θ = 21.0°, rel. 13
- 2θ = 39.9°, rel. 12
- 2θ = 23.6°, rel. 12
- 2θ = 35.3°, rel. 11

---

(3)
Starting from a DFT-relaxed cell (GGA-PBE, Alexandria), the powder XRD pattern of CsVBrCl6 was computed for Cu Kα (weighted mean of Kα1 and Kα2).
Intensities are scaled so that the largest is 100.

Atomic structure:
Lattice parameters (Å, degrees): 7.210 7.289 7.564 73.09 70.95 63.71
Sites, in units of the cell vectors:
Cs (0.000, 0.000, 0.000)
V (0.327, 0.276, 0.262)
Br (0.091, 0.530, 0.757)
Cl (0.077, 0.181, 0.485)
Cl (0.177, 0.597, 0.415)
Cl (0.454, 0.016, 0.098)
Cl (0.468, 0.480, 0.026)
Cl (0.581, 0.126, 0.422)
Cl (0.999, 0.468, 0.102)

Peak list (10 most intense, 15° ≤ 2θ ≤ 90°, most intense first)
- 2θ = 28.3°, rel. 100
- 2θ = 29.0°, rel. 67
- 2θ = 34.4°, rel. 55
- 2θ = 28.4°, rel. 53
- 2θ = 24.9°, rel. 45
- 2θ = 27.7°, rel. 43
- 2θ = 20.2°, rel. 43
- 2θ = 15.4°, rel. 37
- 2θ = 16.6°, rel. 36
- 2θ = 47.6°, rel. 34

---

(4)
Starting from a DFT-relaxed cell (GGA-PBE, Alexandria), the powder XRD pattern of Tb2DyHo2Th was computed for Cu Kα (weighted mean of Kα1 and Kα2).
Intensities are scaled so that the largest is 100.

Atomic structure:
Lattice parameters (Å, degrees): 6.592 6.685 8.776 90.00 96.87 90.00
Sites, in units of the cell vectors:
Tb (0.184, 0.001, 0.181)
Tb (0.184, 0.499, 0.181)
Tb (0.816, 0.501, 0.819)
Tb (0.816, 0.999, 0.819)
Dy (0.345, 0.250, 0.860)
Dy (0.655, 0.750, 0.140)
Ho (0.289, 0.750, 0.834)
Ho (0.420, 0.750, 0.492)
Ho (0.580, 0.250, 0.508)
Ho (0.711, 0.250, 0.166)
Th (0.087, 0.250, 0.517)
Th (0.913, 0.750, 0.483)

Peak list (10 most intense, 15° ≤ 2θ ≤ 90°, most intense first)
- 2θ = 30.8°, rel. 100
- 2θ = 31.2°, rel. 95
- 2θ = 32.2°, rel. 71
- 2θ = 30.3°, rel. 61
- 2θ = 37.5°, rel. 49
- 2θ = 33.2°, rel. 40
- 2θ = 33.8°, rel. 36
- 2θ = 49.9°, rel. 34
- 2θ = 28.6°, rel. 28
- 2θ = 56.8°, rel. 28

---

(5)
Starting from a DFT-relaxed cell (GGA-PBE, Alexandria), the powder XRD pattern of Er5Th2Sc4 was computed for Cu Kα (weighted mean of Kα1 and Kα2).
Intensities are scaled so that the largest is 100.

Atomic structure:
Lattice parameters (Å, degrees): 8.362 3.420 11.418 90.00 96.81 90.00
Sites, in units of the cell vectors:
Er (0.000, 0.000, 0.000)
Er (0.046, 0.000, 0.295)
Er (0.342, 0.000, 0.867)
Er (0.658, 0.000, 0.133)
Er (0.954, 0.000, 0.705)
Th (0.462, 0.000, 0.361)
Th (0.538, 0.000, 0.639)
Sc (0.194, 0.500, 0.538)
Sc (0.310, 0.500, 0.123)
Sc (0.690, 0.500, 0.877)
Sc (0.806, 0.500, 0.462)

Peak list (10 most intense, 15° ≤ 2θ ≤ 90°, most intense first)
- 2θ = 33.9°, rel. 100
- 2θ = 26.1°, rel. 93
- 2θ = 32.1°, rel. 65
- 2θ = 32.4°, rel. 60
- 2θ = 35.4°, rel. 55
- 2θ = 21.4°, rel. 41
- 2θ = 41.8°, rel. 40
- 2θ = 42.0°, rel. 38
- 2θ = 30.0°, rel. 35
- 2θ = 31.8°, rel. 33

---

(6)
Starting from a DFT-relaxed cell (GGA-PBE, Alexandria), the powder XRD pattern of SrCo2H8 was computed for Cu Kα (weighted mean of Kα1 and Kα2).
Intensities are scaled so that the largest is 100.

Atomic structure:
Lattice parameters (Å, degrees): 4.732 4.732 3.852 90.00 90.00 117.20
Sites, in units of the cell vectors:
Sr (0.000, 0.000, 0.000)
Co (0.327, 0.673, 0.484)
Co (0.673, 0.327, 0.484)
H (0.022, 0.331, 0.500)
H (0.321, 0.679, 0.048)
H (0.331, 0.022, 0.500)
H (0.500, 0.500, 0.265)
H (0.500, 0.500, 0.712)
H (0.669, 0.978, 0.500)
H (0.679, 0.321, 0.048)
H (0.978, 0.669, 0.500)

Peak list (10 most intense, 15° ≤ 2θ ≤ 90°, most intense first)
- 2θ = 31.5°, rel. 100
- 2θ = 38.1°, rel. 63
- 2θ = 32.1°, rel. 58
- 2θ = 36.4°, rel. 37
- 2θ = 49.3°, rel. 32
- 2θ = 62.2°, rel. 28
- 2θ = 47.2°, rel. 18
- 2θ = 65.4°, rel. 16
- 2θ = 61.0°, rel. 15
- 2θ = 62.5°, rel. 14

---

(7)
Starting from a DFT-relaxed cell (GGA-PBE, Alexandria), the powder XRD pattern of Br3O2 was computed for Cu Kα (weighted mean of Kα1 and Kα2).
Intensities are scaled so that the largest is 100.

Atomic structure:
Lattice parameters (Å, degrees): 4.701 6.169 6.277 103.15 111.23 106.53
Sites, in units of the cell vectors:
Br (0.000, 0.000, 0.000)
Br (0.438, 0.435, 0.218)
Br (0.562, 0.565, 0.782)
O (0.072, 0.930, 0.503)
O (0.928, 0.070, 0.497)

Peak list (10 most intense, 15° ≤ 2θ ≤ 90°, most intense first)
- 2θ = 21.5°, rel. 100
- 2θ = 32.6°, rel. 47
- 2θ = 30.1°, rel. 45
- 2θ = 30.8°, rel. 42
- 2θ = 16.3°, rel. 16
- 2θ = 43.8°, rel. 15
- 2θ = 18.2°, rel. 14
- 2θ = 43.0°, rel. 14
- 2θ = 44.5°, rel. 14
- 2θ = 48.3°, rel. 13

---

Q: What is the formula in the fifth record?
A: Er5Th2Sc4